# 1
The following is a computed XRD peak list of PmPr8Pb2. It was derived from a crystal structure in Alexandria, relaxed with GGA-PBE, using Cu Kα, 1.54184 Å.
Kinematic intensities with the Lorentz-polarization factor, no thermal factor.

Peak list (8 most intense, 5° ≤ 2θ ≤ 70°, low angle first)
2θ (°)	I (rel.)
29.18	67
30.08	65
31.38	100
31.56	45
33.28	49
33.50	50
35.19	37
61.98	25

Unit cell a=9.2380 b=9.2380 c=6.4999 alpha=93.37 beta=93.37 gamma=44.09
Fractional positions:
1 Pm 0.0000 0.0000 0.0000
2 Pr 0.1549 0.6497 0.5971
3 Pr 0.2090 0.2090 0.8357
4 Pr 0.3503 0.8451 0.4029
5 Pr 0.4171 0.4171 0.0974
6 Pr 0.5829 0.5829 0.9026
7 Pr 0.6497 0.1549 0.5971
8 Pr 0.7910 0.7910 0.1643
9 Pr 0.8451 0.3503 0.4029
10 Pb 0.2576 0.2576 0.3318
11 Pb 0.7424 0.7424 0.6682

=====

# 2
The following is a computed XRD peak list of Pm6Pr2Pb. It was derived from a crystal structure in Alexandria, relaxed with GGA-PBE, using Cu Kα, 1.54184 Å.
Kinematic intensities with the Lorentz-polarization factor, no thermal factor.

Peak list (8 most intense, 5° ≤ 2θ ≤ 70°, low angle first)
2θ (°)	I (rel.)
27.87	30
29.15	23
31.34	100
31.47	16
38.18	14
38.66	22
50.52	21
50.94	14

Unit cell a=7.2268 b=7.2268 c=7.0572 alpha=90.49 beta=90.49 gamma=59.49
Fractional positions:
1 Pm 0.1513 0.6720 0.8189
2 Pm 0.3223 0.3223 0.1852
3 Pm 0.3280 0.8487 0.1811
4 Pm 0.6720 0.1513 0.8189
5 Pm 0.6777 0.6777 0.8148
6 Pm 0.8487 0.3280 0.1811
7 Pr 0.1638 0.1638 0.6608
8 Pr 0.8362 0.8362 0.3392
9 Pb 0.5000 0.5000 0.5000

=====

# 3
The following is a computed XRD peak list of Pm12Pr7Pb. It was derived from a crystal structure in Alexandria, relaxed with GGA-PBE, using Cu Kα, 1.54184 Å.
Kinematic intensities with the Lorentz-polarization factor, no thermal factor.

Peak list (8 most intense, 5° ≤ 2θ ≤ 70°, low angle first)
2θ (°)	I (rel.)
29.52	24
29.95	24
30.16	100
31.45	68
31.76	53
32.85	29
51.93	17
52.51	23

Unit cell a=8.9540 b=8.9540 c=8.9540 alpha=89.09 beta=89.09 gamma=89.09
Fractional positions:
1 Pm 0.0040 0.8853 0.3373
2 Pm 0.1147 0.6627 0.9960
3 Pm 0.1215 0.4609 0.3435
4 Pm 0.3373 0.0040 0.8853
5 Pm 0.3435 0.1215 0.4609
6 Pm 0.4609 0.3435 0.1215
7 Pm 0.5391 0.6565 0.8785
8 Pm 0.6565 0.8785 0.5391
9 Pm 0.6627 0.9960 0.1147
10 Pm 0.8785 0.5391 0.6565
11 Pm 0.8853 0.3373 0.0040
12 Pm 0.9960 0.1147 0.6627
13 Pr 0.2130 0.7649 0.6197
14 Pr 0.2351 0.3803 0.7870
15 Pr 0.3803 0.7870 0.2351
16 Pr 0.5000 0.5000 0.5000
17 Pr 0.6197 0.2130 0.7649
18 Pr 0.7649 0.6197 0.2130
19 Pr 0.7870 0.2351 0.3803
20 Pb 0.0000 0.0000 0.0000

=====

# 4
The following is a computed XRD peak list of PmPr3Pb. It was derived from a crystal structure in Alexandria, relaxed with GGA-PBE, using Cu Kα, 1.54184 Å.
Kinematic intensities with the Lorentz-polarization factor, no thermal factor.

Peak list (8 most intense, 5° ≤ 2θ ≤ 70°, low angle first)
2θ (°)	I (rel.)
27.81	58
29.34	61
29.47	100
29.60	35
30.53	67
30.73	68
32.43	88
35.37	48

Unit cell a=9.3185 b=8.8335 c=9.8529 alpha=90.00 beta=121.50 gamma=90.00
Fractional positions:
1 Pm 0.2184 0.0640 0.4303
2 Pm 0.2184 0.4360 0.9303
3 Pm 0.7816 0.5640 0.0697
4 Pm 0.7816 0.9360 0.5697
5 Pr 0.0927 0.6987 0.5477
6 Pr 0.0927 0.8013 0.0477
7 Pr 0.2124 0.0646 0.7881
8 Pr 0.2124 0.4354 0.2881
9 Pr 0.4207 0.0762 0.2097
10 Pr 0.4207 0.4238 0.7097
11 Pr 0.5793 0.5762 0.2903
12 Pr 0.5793 0.9238 0.7903
13 Pr 0.7876 0.5646 0.7119
14 Pr 0.7876 0.9354 0.2119
15 Pr 0.9073 0.1987 0.9523
16 Pr 0.9073 0.3013 0.4523
17 Pb 0.4064 0.7486 0.9537
18 Pb 0.4064 0.7514 0.4537
19 Pb 0.5936 0.2486 0.5463
20 Pb 0.5936 0.2514 0.0463

=====

# 5
The following is a computed XRD peak list of PmPr5Pb4. It was derived from a crystal structure in Alexandria, relaxed with GGA-PBE, using Cu Kα, 1.54184 Å.
Kinematic intensities with the Lorentz-polarization factor, no thermal factor.

Peak list (8 most intense, 5° ≤ 2θ ≤ 70°, low angle first)
2θ (°)	I (rel.)
20.59	30
31.68	54
32.04	56
33.02	100
33.14	100
45.68	40
57.77	41
59.93	28

Unit cell a=8.9225 b=8.9225 c=7.4031 alpha=90.26 beta=90.26 gamma=36.49
Fractional positions:
1 Pm 0.0000 0.0000 0.0000
2 Pr 0.0000 0.0000 0.5000
3 Pr 0.3331 0.3331 0.9921
4 Pr 0.3337 0.3337 0.5061
5 Pr 0.6663 0.6663 0.4939
6 Pr 0.6669 0.6669 0.0079
7 Pb 0.1748 0.1748 0.2494
8 Pb 0.4913 0.4913 0.2471
9 Pb 0.5087 0.5087 0.7529
10 Pb 0.8252 0.8252 0.7506

=====

# 6
The following is a computed XRD peak list of Pm12PtPb6. It was derived from a crystal structure in Alexandria, relaxed with GGA-PBE, using Cu Kα, 1.54184 Å.
Kinematic intensities with the Lorentz-polarization factor, no thermal factor.

Peak list (8 most intense, 5° ≤ 2θ ≤ 70°, low angle first)
2θ (°)	I (rel.)
21.18	100
28.25	30
29.13	39
30.82	97
31.10	31
34.72	84
34.97	60
36.18	54

Unit cell a=8.9095 b=8.9095 c=8.9095 alpha=99.29 beta=99.29 gamma=99.29
Fractional positions:
1 Pm 0.0106 0.6811 0.9437
2 Pm 0.0563 0.9894 0.3189
3 Pm 0.1975 0.4230 0.5578
4 Pm 0.3189 0.0563 0.9894
5 Pm 0.4230 0.5578 0.1975
6 Pm 0.4422 0.8025 0.5770
7 Pm 0.5578 0.1975 0.4230
8 Pm 0.5770 0.4422 0.8025
9 Pm 0.6811 0.9437 0.0106
10 Pm 0.8025 0.5770 0.4422
11 Pm 0.9437 0.0106 0.6811
12 Pm 0.9894 0.3189 0.0563
13 Pt 0.0000 0.0000 0.0000
14 Pb 0.1206 0.6450 0.3153
15 Pb 0.3153 0.1206 0.6450
16 Pb 0.3550 0.6847 0.8794
17 Pb 0.6450 0.3153 0.1206
18 Pb 0.6847 0.8795 0.3550
19 Pb 0.8794 0.3550 0.6847

=====

# 7
The following is a computed XRD peak list of Pm4PtPb2. It was derived from a crystal structure in Alexandria, relaxed with GGA-PBE, using Cu Kα, 1.54184 Å.
Kinematic intensities with the Lorentz-polarization factor, no thermal factor.

Peak list (8 most intense, 5° ≤ 2θ ≤ 70°, low angle first)
2θ (°)	I (rel.)
21.64	31
27.75	41
29.68	52
32.61	100
34.62	63
34.92	47
36.69	68
38.58	53

Unit cell a=6.3714 b=6.3714 c=8.9747 alpha=118.45 beta=118.45 gamma=42.98
Fractional positions:
1 Pm 0.0740 0.0740 0.3554
2 Pm 0.3295 0.3295 0.9373
3 Pm 0.6705 0.6705 0.0627
4 Pm 0.9260 0.9260 0.6446
5 Pt 0.0000 0.0000 0.0000
6 Pb 0.3526 0.3526 0.3407
7 Pb 0.6474 0.6474 0.6593

=====

# 8
The following is a computed XRD peak list of PmPt5Pb. It was derived from a crystal structure in Alexandria, relaxed with GGA-PBE, using Cu Kα, 1.54184 Å.
Kinematic intensities with the Lorentz-polarization factor, no thermal factor.

Peak list (8 most intense, 5° ≤ 2θ ≤ 70°, low angle first)
2θ (°)	I (rel.)
35.14	62
35.39	71
37.88	30
39.72	56
40.91	47
41.54	100
42.21	36
42.50	51

Unit cell a=8.9999 b=5.4067 c=11.1947 alpha=90.00 beta=90.00 gamma=90.00
Fractional positions:
1 Pm 0.2481 0.2500 0.0679
2 Pm 0.2519 0.7500 0.5679
3 Pm 0.7481 0.2500 0.4321
4 Pm 0.7519 0.7500 0.9321
5 Pt 0.0354 0.2500 0.5869
6 Pt 0.0678 0.5030 0.7995
7 Pt 0.0678 0.9970 0.7995
8 Pt 0.0704 0.7500 0.0096
9 Pt 0.1914 0.7500 0.2304
10 Pt 0.3086 0.2500 0.7304
11 Pt 0.4296 0.2500 0.5096
12 Pt 0.4322 0.0030 0.2995
13 Pt 0.4322 0.4970 0.2995
14 Pt 0.4646 0.7500 0.0869
15 Pt 0.5354 0.2500 0.9131
16 Pt 0.5678 0.5030 0.7005
17 Pt 0.5678 0.9970 0.7005
18 Pt 0.5704 0.7500 0.4904
19 Pt 0.6914 0.7500 0.2696
20 Pt 0.8086 0.2500 0.7696
21 Pt 0.9296 0.2500 0.9904
22 Pt 0.9322 0.0030 0.2005
23 Pt 0.9322 0.4970 0.2005
24 Pt 0.9646 0.7500 0.4131
25 Pb 0.1466 0.2500 0.3626
26 Pb 0.3534 0.7500 0.8626
27 Pb 0.6466 0.2500 0.1374
28 Pb 0.8534 0.7500 0.6374

=====

# 9
The following is a computed XRD peak list of Pm2PuPb3. It was derived from a crystal structure in Alexandria, relaxed with GGA-PBE, using Cu Kα, 1.54184 Å.
Kinematic intensities with the Lorentz-polarization factor, no thermal factor.

Peak list (8 most intense, 5° ≤ 2θ ≤ 70°, low angle first)
2θ (°)	I (rel.)
27.51	100
29.49	43
36.82	90
38.65	50
49.35	42
62.94	24
63.33	20
68.74	30

Unit cell a=3.2948 b=3.2948 c=18.1721 alpha=90.00 beta=90.00 gamma=90.00
Fractional positions:
1 Pm 0.0000 0.0000 0.1815
2 Pm 0.0000 0.0000 0.8185
3 Pu 0.0000 0.0000 0.0000
4 Pb 0.5000 0.5000 0.3202
5 Pb 0.5000 0.5000 0.5000
6 Pb 0.5000 0.5000 0.6798

=====

# 10
The following is a computed XRD peak list of Pm2PuPb9. It was derived from a crystal structure in Alexandria, relaxed with GGA-PBE, using Cu Kα, 1.54184 Å.
Kinematic intensities with the Lorentz-polarization factor, no thermal factor.

Peak list (8 most intense, 5° ≤ 2θ ≤ 70°, low angle first)
2θ (°)	I (rel.)
31.24	57
32.82	100
44.77	22
49.36	8
56.61	44
59.58	19
65.08	4
68.82	12

Unit cell a=3.6928 b=5.7328 c=17.1583 alpha=90.00 beta=90.00 gamma=90.00
Fractional positions:
1 Pm 0.0000 0.0000 0.1670
2 Pm 0.0000 0.0000 0.8330
3 Pu 0.0000 0.0000 0.5000
4 Pb 0.0000 0.5000 0.0000
5 Pb 0.0000 0.5000 0.3344
6 Pb 0.0000 0.5000 0.6656
7 Pb 0.5000 0.0000 0.0000
8 Pb 0.5000 0.0000 0.3348
9 Pb 0.5000 0.0000 0.6652
10 Pb 0.5000 0.5000 0.1679
11 Pb 0.5000 0.5000 0.5000
12 Pb 0.5000 0.5000 0.8321

=====

# 11
The following is a computed XRD peak list of Pm2Pu2Pb3. It was derived from a crystal structure in Alexandria, relaxed with GGA-PBE, using Cu Kα, 1.54184 Å.
Kinematic intensities with the Lorentz-polarization factor, no thermal factor.

Peak list (8 most intense, 5° ≤ 2θ ≤ 70°, low angle first)
2θ (°)	I (rel.)
7.28	27
31.97	74
32.08	100
33.71	65
38.35	33
51.94	41
62.32	31
65.40	23

Unit cell a=12.3689 b=12.3689 c=3.5243 alpha=90.00 beta=90.00 gamma=158.12
Fractional positions:
1 Pm 0.0760 0.9240 0.0000
2 Pm 0.9240 0.0760 0.0000
3 Pu 0.2145 0.7855 0.0000
4 Pu 0.7855 0.2145 0.0000
5 Pb 0.3467 0.6533 0.5000
6 Pb 0.5000 0.5000 0.5000
7 Pb 0.6533 0.3467 0.5000

=====

# 12
The following is a computed XRD peak list of Pm12Rh2Pb5. It was derived from a crystal structure in Alexandria, relaxed with GGA-PBE, using Cu Kα, 1.54184 Å.
Kinematic intensities with the Lorentz-polarization factor, no thermal factor.

Peak list (8 most intense, 5° ≤ 2θ ≤ 70°, low angle first)
2θ (°)	I (rel.)
19.29	53
21.17	61
29.68	100
31.12	57
31.24	64
33.16	37
35.95	50
39.35	43

Unit cell a=9.7314 b=9.7314 c=9.9927 alpha=104.52 beta=104.52 gamma=46.82
Fractional positions:
1 Pm 0.0029 0.0029 0.2425
2 Pm 0.0824 0.6006 0.9187
3 Pm 0.1037 0.5989 0.4265
4 Pm 0.3994 0.9176 0.0813
5 Pm 0.4011 0.8963 0.5735
6 Pm 0.4961 0.4961 0.1739
7 Pm 0.5039 0.5039 0.8261
8 Pm 0.5989 0.1037 0.4265
9 Pm 0.6006 0.0824 0.9187
10 Pm 0.8963 0.4011 0.5735
11 Pm 0.9176 0.3994 0.0813
12 Pm 0.9971 0.9971 0.7575
13 Rh 0.2040 0.7960 0.0000
14 Rh 0.7960 0.2040 0.0000
15 Pb 0.1900 0.1900 0.8339
16 Pb 0.1977 0.1977 0.3600
17 Pb 0.5000 0.5000 0.5000
18 Pb 0.8023 0.8023 0.6400
19 Pb 0.8100 0.8100 0.1661